Record 1
YPu4Se6: simulated PXRD pattern (copper Kα), based on a DFT-relaxed cell (PBE, Alexandria).

Crystal structure
```
YPu4Se6
1.0
2.0244 -6.8381 0.0000
2.0244 6.8381 0.0000
0.0000 0.0000 21.0677
Y Pu Se
2 8 12
Cartesian
2.0244 4.7559 15.8008
2.0244 -4.7559 5.2669
2.0244 5.6021 2.7569
2.0244 5.6021 7.7770
2.0244 1.8966 0.8370
2.0244 1.8966 9.6968
2.0244 -1.8966 11.3709
2.0244 -1.8966 20.2307
2.0244 -5.6021 13.2907
2.0244 -5.6021 18.3108
0.0000 0.0000 0.0000
0.0000 0.0000 10.5338
2.0244 4.1396 5.2669
2.0244 3.1198 12.3792
2.0244 3.1198 19.2224
2.0244 0.7150 3.5516
2.0244 0.7150 6.9823
2.0244 -0.7150 14.0854
2.0244 -0.7150 17.5161
2.0244 -3.1198 1.8453
2.0244 -3.1198 8.6885
2.0244 -4.1396 15.8008
```

Principal peaks in the range 10 to 90 degrees two-theta, by angle:
2θ 24.8, rel. 99
2θ 28.6, rel. 58
2θ 29.8, rel. 66
2θ 30.7, rel. 100
2θ 32.2, rel. 86
2θ 45.2, rel. 57



Record 2
TiNi7: simulated PXRD pattern (copper Kα), based on a DFT-relaxed cell (PBE, Alexandria).

Crystal structure
```
TiNi7
1.0
5.0589 0.0000 0.0000
-2.5295 4.3812 0.0000
0.0000 0.0000 4.0907
Ti Ni
1 7
Cartesian
0.0000 0.0000 0.0000
-1.2538 2.1969 0.0000
0.0000 2.9208 2.0453
1.2986 0.7498 2.0453
1.2538 2.1969 0.0000
0.0000 4.3685 0.0000
3.7603 0.7498 2.0453
2.5295 2.8817 2.0453
```

Principal peaks in the range 10 to 90 degrees two-theta, by angle:
2θ 41.2, rel. 25
2θ 44.3, rel. 27
2θ 47.1, rel. 100
2θ 62.1, rel. 14
2θ 75.1, rel. 15
2θ 83.5, rel. 16



Record 3
Tm3Ga2Si3: simulated PXRD pattern (copper Kα), based on a DFT-relaxed cell (PBE, Alexandria).

Crystal structure
```
Tm3Ga2Si3
1.0
2.0390 -5.2925 0.0000
2.0390 5.2925 0.0000
0.0000 0.0000 14.6354
Tm Ga Si
6 4 6
Cartesian
2.0390 4.4686 10.9765
2.0390 1.3784 8.7463
2.0390 1.3784 13.2068
2.0390 -1.3784 1.4286
2.0390 -1.3784 5.8891
2.0390 -4.4686 3.6588
2.0390 1.6610 1.7663
2.0390 1.6610 5.5513
2.0390 -1.6610 9.0840
2.0390 -1.6610 12.8690
2.0390 4.4121 8.0675
2.0390 4.4121 13.8855
2.0390 3.2703 3.6588
2.0390 -3.2703 10.9765
2.0390 -4.4121 0.7498
2.0390 -4.4121 6.5679
```

Principal peaks in the range 10 to 90 degrees two-theta, by angle:
2θ 24.8, rel. 52
2θ 26.4, rel. 41
2θ 33.6, rel. 44
2θ 34.0, rel. 100
2θ 34.2, rel. 49
2θ 41.9, rel. 38



Record 4
NiMoC: simulated PXRD pattern (copper Kα), based on a DFT-relaxed cell (PBE, Alexandria).

Crystal structure
```
NiMoC
1.0
4.1323 0.0000 0.0000
0.0000 3.0531 0.0000
-0.8551 0.0000 5.1990
Ni Mo C
2 2 2
Cartesian
0.0000 0.0000 0.0000
1.1827 1.5265 1.6408
1.2379 1.5265 4.3578
3.1898 0.0000 2.5111
2.1024 0.0000 0.6799
3.3137 1.5265 3.8950
```

Principal peaks in the range 10 to 90 degrees two-theta, by angle:
2θ 34.5, rel. 18
2θ 36.8, rel. 100
2θ 37.9, rel. 36
2θ 44.3, rel. 20
2θ 44.4, rel. 21
2θ 45.8, rel. 53